Theoretical X-ray diffraction stick pattern of Tb3NiTe for a wavelength of 1.5418 Å, from a GGA-PBE-relaxed structure.
Neutral-atom scattering factors, no anomalous dispersion.

The 10 most intense peaks (2θ from 10° to 90°), by angle:
two_theta	d (Å)	I_rel
28.65	3.116	100
31.27	2.861	32
31.55	2.836	44
31.97	2.799	32
32.24	2.776	43
34.74	2.582	29
35.36	2.539	90
37.64	2.390	33
38.99	2.310	32
45.58	1.990	45

Structure:
```
data_Tb3NiTe
_chemical_formula_sum 'Tb6 Ni2 Te2'
_symmetry_space_group_name_H-M 'P 1 21/m 1'
_symmetry_Int_Tables_number 11
_cell_length_a 8.045
_cell_length_b 3.981
_cell_length_c 8.540
_cell_angle_alpha 90.00
_cell_angle_beta 105.64
_cell_angle_gamma 90.00
loop_
_symmetry_equiv_pos_as_xyz
'x,y,z'
'-x,-y,-z'
'-x,y+1/2,-z'
'x,-y+1/2,z'
loop_
_atom_site_label
_atom_site_fract_x
_atom_site_fract_y
_atom_site_fract_z
Tb1 0.073 0.250 0.256
Tb2 0.301 0.250 0.931
Tb3 0.315 0.750 0.592
Ni1 0.064 0.250 0.587
Te1 0.382 0.750 0.234
```

Theoretical X-ray diffraction stick pattern of La5Sb2Ru for a wavelength of 1.5418 Å, from a GGA-PBE-relaxed structure.
Neutral-atom scattering factors, no anomalous dispersion.

The 10 most intense peaks (2θ from 10° to 90°), by angle:
two_theta	d (Å)	I_rel
26.05	3.421	18
29.63	3.015	100
29.80	2.998	90
30.41	2.939	73
32.04	2.793	53
32.81	2.730	26
34.02	2.635	32
36.40	2.468	16
39.05	2.307	42
49.88	1.828	33

Structure:
```
data_La5Sb2Ru
_chemical_formula_sum 'La20 Sb8 Ru4'
_symmetry_space_group_name_H-M 'P n m a'
_symmetry_Int_Tables_number 62
_cell_length_a 12.846
_cell_length_b 9.226
_cell_length_c 8.381
_cell_angle_alpha 90.00
_cell_angle_beta 90.00
_cell_angle_gamma 90.00
loop_
_symmetry_equiv_pos_as_xyz
'x,y,z'
'-x,-y,-z'
'-x+1/2,-y,z+1/2'
'x+1/2,y,-z+1/2'
'x+1/2,-y+1/2,-z+1/2'
'-x+1/2,y+1/2,z+1/2'
'-x,y+1/2,-z'
'x,-y+1/2,z'
loop_
_atom_site_label
_atom_site_fract_x
_atom_site_fract_y
_atom_site_fract_z
La1 0.003 0.250 0.042
La2 0.064 0.534 0.315
La3 0.198 0.250 0.622
La4 0.202 0.750 0.650
Sb1 0.173 0.007 0.922
Ru1 0.016 0.250 0.420
```

Theoretical X-ray diffraction stick pattern of RbLaHgBr6 for a wavelength of 1.5418 Å, from a GGA-PBE-relaxed structure.
Neutral-atom scattering factors, no anomalous dispersion.

The 10 most intense peaks (2θ from 10° to 90°), by angle:
two_theta	d (Å)	I_rel
11.63	7.611	51
13.57	6.525	22
17.91	4.954	77
26.40	3.376	86
33.47	2.677	100
38.36	2.346	29
41.52	2.175	43
42.98	2.104	29
54.34	1.688	20
65.14	1.432	18

Structure:
```
data_RbLaHgBr6
_chemical_formula_sum 'Rb2 La2 Hg2 Br12'
_symmetry_space_group_name_H-M 'P -3 1 c'
_symmetry_Int_Tables_number 163
_symmetry_space_group_name_Hall '-P 3 2c'
_cell_length_a 7.5349
_cell_length_b 7.5349
_cell_length_c 15.2220
_cell_angle_alpha 90.00
_cell_angle_beta 90.00
_cell_angle_gamma 120.00
loop_
_atom_site_label
_atom_site_fract_x
_atom_site_fract_y
_atom_site_fract_z
Rb1 0.0000 0.0000 0.0000
La1 0.3333 0.6667 0.2500
Hg1 0.3333 0.6667 0.7500
Br1 0.0090 0.3786 0.6383
```

Theoretical X-ray diffraction stick pattern of Pm3SnHg3 for a wavelength of 1.5418 Å, from a GGA-PBE-relaxed structure.
Neutral-atom scattering factors, no anomalous dispersion.

The 10 most intense peaks (2θ from 10° to 90°), by angle:
two_theta	d (Å)	I_rel
31.04	2.881	100
31.74	2.819	33
34.46	2.602	21
35.11	2.556	74
36.92	2.435	42
39.58	2.277	39
47.88	1.900	20
49.47	1.843	19
60.74	1.525	31
61.96	1.498	19

Structure:
```
data_Pm3SnHg3
_chemical_formula_sum 'Pm6 Sn2 Hg6'
_symmetry_space_group_name_H-M 'I m m 2'
_symmetry_Int_Tables_number 44
_cell_length_a 3.800
_cell_length_b 4.869
_cell_length_c 21.020
_cell_angle_alpha 90.00
_cell_angle_beta 90.00
_cell_angle_gamma 90.00
loop_
_symmetry_equiv_pos_as_xyz
'x,y,z'
'-x,-y,z'
'-x,y,z'
'x,-y,z'
'x+1/2,y+1/2,z+1/2'
'-x+1/2,-y+1/2,z+1/2'
'-x+1/2,y+1/2,z+1/2'
'x+1/2,-y+1/2,z+1/2'
loop_
_atom_site_label
_atom_site_fract_x
_atom_site_fract_y
_atom_site_fract_z
Pm1 0.000 0.000 0.000
Pm2 0.000 0.000 0.388
Pm3 0.000 0.500 0.192
Sn1 0.000 0.500 0.759
Hg1 0.000 0.000 0.542
Hg2 0.000 0.000 0.845
Hg3 0.000 0.500 0.623
```

Theoretical X-ray diffraction stick pattern of Pm3Sn2Pd3 for a wavelength of 1.5418 Å, from a GGA-PBE-relaxed structure.
Neutral-atom scattering factors, no anomalous dispersion.

The 10 most intense peaks (2θ from 10° to 90°), by angle:
two_theta	d (Å)	I_rel
31.55	2.836	53
31.90	2.805	100
35.88	2.503	83
36.76	2.445	25
39.36	2.289	24
39.56	2.278	44
54.45	1.685	15
55.11	1.666	13
61.42	1.510	14
65.99	1.416	14

Structure:
```
data_Pm3Sn2Pd3
_chemical_formula_sum 'Pm12 Sn8 Pd12'
_symmetry_space_group_name_H-M 'C m c m'
_symmetry_Int_Tables_number 63
_symmetry_space_group_name_Hall '-C 2c 2'
_cell_length_a 4.556
_cell_length_b 11.200
_cell_length_c 15.027
_cell_angle_alpha 90.00
_cell_angle_beta 90.00
_cell_angle_gamma 90.00
loop_
_atom_site_label
_atom_site_fract_x
_atom_site_fract_y
_atom_site_fract_z
Pm1 0.000 0.079 0.105
Pm2 0.000 0.377 0.250
Sn1 0.000 0.213 0.600
Pd1 0.000 0.353 0.750
Pd2 0.000 0.388 0.041
```

What did the fifth record say?
Theoretical X-ray diffraction stick pattern of Pm3Sn2Pd3 for a wavelength of 1.5418 Å, from a GGA-PBE-relaxed structure.
Neutral-atom scattering factors, no anomalous dispersion.

The 10 most intense peaks (2θ from 10° to 90°), by angle:
two_theta	d (Å)	I_rel
31.55	2.836	53
31.90	2.805	100
35.88	2.503	83
36.76	2.445	25
39.36	2.289	24
39.56	2.278	44
54.45	1.685	15
55.11	1.666	13
61.42	1.510	14
65.99	1.416	14

Structure:
```
data_Pm3Sn2Pd3
_chemical_formula_sum 'Pm12 Sn8 Pd12'
_symmetry_space_group_name_H-M 'C m c m'
_symmetry_Int_Tables_number 63
_symmetry_space_group_name_Hall '-C 2c 2'
_cell_length_a 4.556
_cell_length_b 11.200
_cell_length_c 15.027
_cell_angle_alpha 90.00
_cell_angle_beta 90.00
_cell_angle_gamma 90.00
loop_
_atom_site_label
_atom_site_fract_x
_atom_site_fract_y
_atom_site_fract_z
Pm1 0.000 0.079 0.105
Pm2 0.000 0.377 0.250
Sn1 0.000 0.213 0.600
Pd1 0.000 0.353 0.750
Pd2 0.000 0.388 0.041
```